Record 1
# PuTh2U3P6
Theoretical powder diffraction line list, copper Kα. Input: the PBE geometry in Alexandria.

Main lines, in order of rising 2θ (5° ≤ 2θ ≤ 70°):
d = 3.311 Å, 26.93 deg, rel. 28; d = 3.271 Å, 27.26 deg, rel. 82; d = 2.841 Å, 31.49 deg, rel. 100; d = 2.023 Å, 44.80 deg, rel. 13; d = 2.016 Å, 44.96 deg, rel. 25; d = 2.000 Å, 45.34 deg, rel. 37; d = 1.725 Å, 53.10 deg, rel. 10; d = 1.710 Å, 53.58 deg, rel. 18; d = 1.706 Å, 53.72 deg, rel. 14; d = 1.634 Å, 56.31 deg, rel. 13

```
data_PuTh2U3P6
_space_group_name_H-M_alt 'C 1 2/m 1'
_space_group_IT_number 12
_space_group_name_Hall '-C 2y'
_cell_length_a 17.547
_cell_length_b 3.996
_cell_length_c 8.092
_cell_angle_alpha 90.00
_cell_angle_beta 103.93
_cell_angle_gamma 90.00
loop_
_atom_site_label
_atom_site_fract_x
_atom_site_fract_y
_atom_site_fract_z
Pu1 0.000 0.000 0.000
Th1 0.164 0.500 0.332
U1 0.000 0.000 0.500
U2 0.168 0.500 0.836
P1 0.005 0.500 0.749
P2 0.164 0.000 0.594
P3 0.167 0.000 0.073
```

Record 2
# PuU3P2
Theoretical powder diffraction line list, copper Kα. Input: the PBE geometry in Alexandria.

Main lines, in order of rising 2θ (5° ≤ 2θ ≤ 70°):
d = 5.588 Å, 15.86 deg, rel. 24; d = 3.734 Å, 23.83 deg, rel. 13; d = 3.329 Å, 26.78 deg, rel. 54; d = 3.045 Å, 29.33 deg, rel. 19; d = 2.485 Å, 36.15 deg, rel. 15; d = 2.360 Å, 38.13 deg, rel. 100; d = 1.867 Å, 48.78 deg, rel. 13; d = 1.666 Å, 55.12 deg, rel. 37; d = 1.628 Å, 56.51 deg, rel. 14; d = 1.523 Å, 60.83 deg, rel. 12

```
data_PuU3P2
_space_group_name_H-M_alt 'I b a m'
_space_group_IT_number 72
_space_group_name_Hall '-I 2 2c'
_cell_length_a 6.659
_cell_length_b 10.274
_cell_length_c 7.468
_cell_angle_alpha 90.00
_cell_angle_beta 90.00
_cell_angle_gamma 90.00
loop_
_atom_site_label
_atom_site_fract_x
_atom_site_fract_y
_atom_site_fract_z
Pu1 0.000 0.000 0.000
U1 0.000 0.163 0.250
U2 0.000 0.500 0.250
P1 0.172 0.339 0.000
```

Record 3
# PuVP3
Theoretical powder diffraction line list, copper Kα. Input: the PBE geometry in Alexandria.

Main lines, in order of rising 2θ (5° ≤ 2θ ≤ 70°):
d = 5.910 Å, 14.99 deg, rel. 25; d = 3.940 Å, 22.57 deg, rel. 26; d = 3.568 Å, 24.95 deg, rel. 100; d = 3.162 Å, 28.22 deg, rel. 55; d = 2.430 Å, 36.99 deg, rel. 26; d = 2.401 Å, 37.45 deg, rel. 28; d = 2.319 Å, 38.83 deg, rel. 66; d = 2.208 Å, 40.88 deg, rel. 22; d = 2.186 Å, 41.29 deg, rel. 19; d = 1.871 Å, 48.65 deg, rel. 26

```
data_PuVP3
_space_group_name_H-M_alt 'P b c m'
_space_group_IT_number 57
_space_group_name_Hall '-P 2c 2b'
_cell_length_a 11.820
_cell_length_b 5.256
_cell_length_c 5.332
_cell_angle_alpha 90.00
_cell_angle_beta 90.00
_cell_angle_gamma 90.00
loop_
_atom_site_label
_atom_site_fract_x
_atom_site_fract_y
_atom_site_fract_z
Pu1 0.185 0.003 0.250
V1 0.421 0.750 0.000
P1 0.001 0.750 0.000
P2 0.287 0.004 0.750
P3 0.419 0.127 0.250
```

Record 4
# Y3PuP4
Theoretical powder diffraction line list, copper Kα. Input: the PBE geometry in Alexandria.

Main lines, in order of rising 2θ (5° ≤ 2θ ≤ 70°):
d = 8.015 Å, 11.04 deg, rel. 9; d = 6.527 Å, 13.57 deg, rel. 12; d = 5.066 Å, 17.51 deg, rel. 14; d = 3.270 Å, 27.27 deg, rel. 70; d = 2.832 Å, 31.60 deg, rel. 100; d = 2.004 Å, 45.26 deg, rel. 48; d = 2.000 Å, 45.34 deg, rel. 24; d = 1.708 Å, 53.65 deg, rel. 26; d = 1.636 Å, 56.23 deg, rel. 19; d = 1.416 Å, 65.98 deg, rel. 12

```
data_Y3PuP4
_space_group_name_H-M_alt 'P 1 2/c 1'
_space_group_IT_number 13
_space_group_name_Hall '-P 2yc'
_cell_length_a 6.924
_cell_length_b 8.015
_cell_length_c 6.945
_cell_angle_alpha 90.00
_cell_angle_beta 109.51
_cell_angle_gamma 90.00
loop_
_atom_site_label
_atom_site_fract_x
_atom_site_fract_y
_atom_site_fract_z
Y1 0.000 0.124 0.250
Y2 0.000 0.374 0.750
Y3 0.500 0.124 0.750
Pu1 0.500 0.374 0.250
P1 0.251 0.127 0.002
P2 0.256 0.378 0.499
```

Record 5
# PuZn3P3
Theoretical powder diffraction line list, copper Kα. Input: the PBE geometry in Alexandria.

Main lines, in order of rising 2θ (5° ≤ 2θ ≤ 70°):
d = 5.761 Å, 15.38 deg, rel. 32; d = 5.143 Å, 17.24 deg, rel. 24; d = 3.820 Å, 23.28 deg, rel. 13; d = 3.075 Å, 29.04 deg, rel. 100; d = 2.392 Å, 37.61 deg, rel. 68; d = 2.196 Å, 41.10 deg, rel. 12; d = 2.007 Å, 45.17 deg, rel. 45; d = 1.681 Å, 54.59 deg, rel. 18; d = 1.538 Å, 60.18 deg, rel. 18; d = 1.482 Å, 62.70 deg, rel. 21

```
data_PuZn3P3
_space_group_name_H-M_alt 'R -3'
_space_group_IT_number 148
_space_group_name_Hall '-R 3'
_cell_length_a 6.9542
_cell_length_b 6.9542
_cell_length_c 19.7677
_cell_angle_alpha 90.00
_cell_angle_beta 90.00
_cell_angle_gamma 120.00
loop_
_atom_site_label
_atom_site_fract_x
_atom_site_fract_y
_atom_site_fract_z
Pu1 0.0000 0.0000 0.1661
Zn1 0.0021 0.3300 0.6204
P1 0.0017 0.3386 0.4162
```

Record 6
# RbP11
Theoretical powder diffraction line list, copper Kα. Input: the PBE geometry in Alexandria.

Main lines, in order of rising 2θ (5° ≤ 2θ ≤ 70°):
d = 6.943 Å, 12.75 deg, rel. 26; d = 5.424 Å, 16.34 deg, rel. 55; d = 4.802 Å, 18.48 deg, rel. 100; d = 3.998 Å, 22.24 deg, rel. 22; d = 3.936 Å, 22.59 deg, rel. 23; d = 3.851 Å, 23.09 deg, rel. 25; d = 3.424 Å, 26.02 deg, rel. 39; d = 3.222 Å, 27.69 deg, rel. 64; d = 3.192 Å, 27.95 deg, rel. 54; d = 2.694 Å, 33.25 deg, rel. 59

```
data_RbP11
_space_group_name_H-M_alt 'P 1 21/m 1'
_space_group_IT_number 11
_space_group_name_Hall '-P 2yb'
_cell_length_a 6.957
_cell_length_b 9.768
_cell_length_c 18.823
_cell_angle_alpha 90.00
_cell_angle_beta 93.57
_cell_angle_gamma 90.00
loop_
_atom_site_label
_atom_site_fract_x
_atom_site_fract_y
_atom_site_fract_z
Rb1 0.075 0.022 0.168
P1 0.127 0.750 0.614
P2 0.154 0.096 0.595
P3 0.202 0.750 0.727
P4 0.229 0.132 0.710
P5 0.247 0.750 0.067
P6 0.269 0.750 0.953
P7 0.312 0.590 0.567
P8 0.320 0.089 0.970
P9 0.343 0.250 0.549
P10 0.384 0.750 0.374
P11 0.422 0.089 0.358
P12 0.448 0.250 0.904
P13 0.454 0.596 0.293
P14 0.483 0.589 0.929
P15 0.488 0.250 0.278
```